Record 1
This entry pairs a crystal structure of SiNi3W2 with its calculated powder XRD pattern. Radiation: Cu Kα (λ = 1.5418 Å). Structure: a cell relaxed with PBE.
Intensities are scaled so that the largest is 100.

Peak list (10 most intense, 10 to 80 degrees two-theta, sorted by position)
| 2θ (°) | Rel. int. |
| --- | --- |
| 21.58 | 33.4 |
| 32.15 | 27.5 |
| 37.84 | 58.2 |
| 42.06 | 100.0 |
| 43.97 | 22.5 |
| 45.05 | 81.1 |
| 45.67 | 53.6 |
| 71.22 | 40.3 |
| 73.38 | 18.9 |
| 78.52 | 26.3 |

abc: 4.7554 4.7554 7.5549
angles: 90.00 90.00 120.00
Fractional coordinates of all 12 atoms:
1 Si 0.0000 0.0000 0.0000
2 Si 0.0000 0.0000 0.5000
3 Ni 0.1694 0.3388 0.2500
4 Ni 0.1694 0.8306 0.2500
5 Ni 0.3388 0.1694 0.7500
6 Ni 0.6612 0.8306 0.2500
7 Ni 0.8306 0.1694 0.7500
8 Ni 0.8306 0.6612 0.7500
9 W 0.3333 0.6667 0.5630
10 W 0.3333 0.6667 0.9370
11 W 0.6667 0.3333 0.0630
12 W 0.6667 0.3333 0.4370

=====

Record 2
This entry pairs a crystal structure of K3BiO3 with its calculated powder XRD pattern. Radiation: Cu Kα (λ = 1.5418 Å). Structure: a cell relaxed with PBE.
Intensities are scaled so that the largest is 100.

Peak list (10 most intense, 10 to 80 degrees two-theta, sorted by position)
| 2θ (°) | Rel. int. |
| --- | --- |
| 11.49 | 17.9 |
| 19.97 | 100.0 |
| 25.87 | 28.1 |
| 28.39 | 60.2 |
| 32.90 | 53.5 |
| 34.96 | 28.6 |
| 45.63 | 43.0 |
| 47.21 | 28.6 |
| 56.01 | 16.4 |
| 62.69 | 23.1 |

abc: 9.4310 9.4310 9.4310
angles: 109.47 109.47 109.47
Fractional coordinates of all 28 atoms:
1 K 0.0000 0.2693 0.5149
2 K 0.0000 0.5149 0.2693
3 K 0.2456 0.7307 0.7307
4 K 0.2693 0.0000 0.5149
5 K 0.2693 0.5149 0.0000
6 K 0.4851 0.4851 0.7544
7 K 0.4851 0.7544 0.4851
8 K 0.5149 0.0000 0.2693
9 K 0.5149 0.2693 0.0000
10 K 0.7307 0.2456 0.7307
11 K 0.7307 0.7307 0.2456
12 K 0.7544 0.4851 0.4851
13 Bi 0.0000 0.0000 0.7037
14 Bi 0.0000 0.7037 0.0000
15 Bi 0.2963 0.2963 0.2963
16 Bi 0.7037 0.0000 0.0000
17 O 0.0000 0.5283 0.7901
18 O 0.0000 0.7901 0.5283
19 O 0.2099 0.2099 0.7382
20 O 0.2099 0.7382 0.2099
21 O 0.2618 0.4717 0.4717
22 O 0.4717 0.2618 0.4717
23 O 0.4717 0.4717 0.2618
24 O 0.5283 0.0000 0.7901
25 O 0.5283 0.7901 0.0000
26 O 0.7382 0.2099 0.2099
27 O 0.7901 0.0000 0.5283
28 O 0.7901 0.5283 0.0000

=====

Record 3
This entry pairs a crystal structure of K2LiS2O4F2 with its calculated powder XRD pattern. Radiation: Cu Kα (λ = 1.5418 Å). Structure: a cell relaxed with PBE.
Intensities are scaled so that the largest is 100.

Peak list (10 most intense, 10 to 80 degrees two-theta, sorted by position)
| 2θ (°) | Rel. int. |
| --- | --- |
| 17.64 | 66.4 |
| 21.21 | 79.5 |
| 21.32 | 56.3 |
| 24.13 | 30.1 |
| 27.58 | 28.9 |
| 27.77 | 81.0 |
| 28.09 | 100.0 |
| 31.24 | 72.3 |
| 32.15 | 31.5 |
| 35.71 | 34.1 |

abc: 5.3611 5.7707 7.5162
angles: 79.92 73.17 76.22
Fractional coordinates of all 11 atoms:
1 K 0.0000 0.0000 0.0000
2 K 0.4599 0.6384 0.2790
3 Li 0.4755 0.2997 0.8572
4 S 0.8671 0.1154 0.4940
5 S 0.9281 0.5815 0.7680
6 O 0.1721 0.5708 0.8370
7 O 0.5887 0.2287 0.5814
8 O 0.7292 0.4522 0.9162
9 O 0.8804 0.9334 0.3733
10 F 0.4750 0.0190 0.0199
11 F 0.9519 0.3581 0.3159

=====

Record 4
This entry pairs a crystal structure of HoB6 with its calculated powder XRD pattern. Radiation: Cu Kα (λ = 1.5418 Å). Structure: a cell relaxed with PBE.
Intensities are scaled so that the largest is 100.

Peak list (10 most intense, 10 to 80 degrees two-theta, sorted by position)
| 2θ (°) | Rel. int. |
| --- | --- |
| 21.73 | 70.5 |
| 30.92 | 100.0 |
| 38.10 | 42.0 |
| 44.29 | 21.3 |
| 49.85 | 50.3 |
| 54.99 | 28.8 |
| 64.42 | 10.4 |
| 68.86 | 27.7 |
| 73.16 | 19.8 |
| 77.37 | 13.2 |

abc: 4.0906 4.0906 4.0906
angles: 90.00 90.00 90.00
Fractional coordinates of all 7 atoms:
1 Ho 0.0000 0.0000 0.0000
2 B 0.1988 0.5000 0.5000
3 B 0.5000 0.1988 0.5000
4 B 0.5000 0.5000 0.1988
5 B 0.5000 0.5000 0.8012
6 B 0.5000 0.8012 0.5000
7 B 0.8012 0.5000 0.5000

=====

Record 5
This entry pairs a crystal structure of Ba3La2Cl12 with its calculated powder XRD pattern. Radiation: Cu Kα (λ = 1.5418 Å). Structure: a cell relaxed with PBE.
Intensities are scaled so that the largest is 100.

Peak list (10 most intense, 10 to 80 degrees two-theta, sorted by position)
| 2θ (°) | Rel. int. |
| --- | --- |
| 19.53 | 25.0 |
| 20.95 | 100.0 |
| 23.93 | 21.7 |
| 27.02 | 24.3 |
| 31.36 | 33.0 |
| 32.30 | 21.2 |
| 33.00 | 24.5 |
| 34.77 | 83.6 |
| 37.28 | 27.3 |
| 41.53 | 21.2 |

abc: 11.7599 11.7599 7.1645
angles: 90.00 90.00 90.00
Fractional coordinates of all 34 atoms:
1 Ba 0.0000 0.0000 0.0000
2 Ba 0.1824 0.3176 0.5000
3 Ba 0.3176 0.8176 0.5000
4 Ba 0.5000 0.5000 0.0000
5 Ba 0.6824 0.1824 0.5000
6 Ba 0.8176 0.6824 0.5000
7 La 0.1360 0.6360 0.0000
8 La 0.3640 0.1360 0.0000
9 La 0.6360 0.8640 0.0000
10 La 0.8640 0.3640 0.0000
11 Cl 0.0000 0.5000 0.2563
12 Cl 0.0000 0.5000 0.7437
13 Cl 0.0616 0.7921 0.2704
14 Cl 0.0616 0.7921 0.7296
15 Cl 0.1889 0.3111 0.0000
16 Cl 0.2079 0.0616 0.2704
17 Cl 0.2079 0.0616 0.7296
18 Cl 0.2921 0.5616 0.2704
19 Cl 0.2921 0.5616 0.7296
20 Cl 0.3111 0.8111 0.0000
21 Cl 0.4384 0.2921 0.2704
22 Cl 0.4384 0.2921 0.7296
23 Cl 0.5000 0.0000 0.2563
24 Cl 0.5000 0.0000 0.7437
25 Cl 0.5616 0.7079 0.2704
26 Cl 0.5616 0.7079 0.7296
27 Cl 0.6889 0.1889 0.0000
28 Cl 0.7079 0.4384 0.2704
29 Cl 0.7079 0.4384 0.7296
30 Cl 0.7921 0.9384 0.2704
31 Cl 0.7921 0.9384 0.7296
32 Cl 0.8111 0.6889 0.0000
33 Cl 0.9384 0.2079 0.2704
34 Cl 0.9384 0.2079 0.7296